Computed PXRD pattern
Compound: Ac5Sn2Pb5
Radiation: Cu Kα (λ = 1.5418 Å)
Structure: the GGA-PBE geometry in Alexandria
Kinematic intensities with the Lorentz-polarization factor, no thermal factor.

Largest 10 diffraction maxima, in order of rising 2θ, 2θ from 5° to 70°:
2θ = 23.71°, I 19, hkl 3 1 -1; 2θ = 27.68°, I 100, hkl 3 1 -3; 2θ = 28.54°, I 43, hkl 2 0 2; 2θ = 29.24°, I 47, hkl 1 1 2; 2θ = 29.75°, I 26, hkl 1 1 -3; 2θ = 32.28°, I 27, hkl 6 0 -4; 2θ = 33.36°, I 80, hkl 5 1 -1; 2θ = 36.24°, I 49, hkl 0 2 0; 2θ = 46.74°, I 30, hkl 2 2 2; 2θ = 56.15°, I 20, hkl 3 1 4

Cell and atoms:
abc: 17.714 4.957 12.792
angles: 90.00 130.04 90.00
Space group C2/m (No. 12)
Symmetry-distinct sites (fractional):
Ac (0.000, 0.000, 0.000) [2 per cell]
Ac (0.117, 0.000, 0.426) [4 per cell]
Ac (0.202, 0.000, 0.835) [4 per cell]
Sn (0.138, 0.500, 0.252) [4 per cell]
Pb (0.000, 0.500, 0.500) [2 per cell]
Pb (0.067, 0.500, 0.836) [4 per cell]
Pb (0.238, 0.500, 0.687) [4 per cell]